Theoretical PXRD pattern of KCaNb2O6F for Cu Kα X-rays, from DFT lattice parameters and positions (GGA-PBE).

Atomic structure:
a = 7.4877 Å, b = 7.6504 Å, c = 10.7696 Å
α = 90.00°, β = 90.00°, γ = 90.00°
Space group Imma (No. 74)
Unique sites:
1 K 0.2500 0.2500 0.2500
2 Ca 0.0000 0.0000 0.0000
3 Nb 0.0000 0.0000 0.5000
4 Nb 0.2500 0.2500 0.7500
5 O 0.0000 0.2500 0.4412
6 O 0.0000 0.2500 0.8188
7 O 0.1945 0.0643 0.6224
8 F 0.0000 0.2500 0.0968

The 10 most intense peaks (5° ≤ 2θ ≤ 70°), low angle first:
| 2theta | I (rel.) | (hkl) |
| --- | --- | --- |
| 14.20 | 36 | 0 1 1 |
| 14.41 | 26 | 1 0 1 |
| 27.46 | 23 | 0 1 3 |
| 28.63 | 94 | 0 2 2 |
| 29.05 | 100 | 2 0 2 |
| 33.28 | 16 | 0 0 4 |
| 33.49 | 29 | 2 2 0 |
| 47.93 | 61 | 2 2 4 |
| 56.67 | 42 | 0 2 6 |
| 57.41 | 24 | 4 2 2 |